This entry pairs a crystal structure of CsHO with its theoretical powder diffraction line list. Radiation: Cu Kα (weighted mean of Kα1 and Kα2). Structure: a PBE-relaxed structure.
Kinematic intensities with the Lorentz-polarization factor, no thermal factor.

Main lines, sorted by position (10 to 90 degrees two-theta):
2θ/deg, intensity, index
12.28, 31, 0 0 2
23.30, 100, 1 0 2
24.70, 25, 0 0 4
28.03, 69, 1 1 0
31.81, 33, 1 0 4
37.71, 31, 1 1 4
40.06, 25, 2 0 0
46.86, 32, 2 1 2
47.41, 24, 1 1 6
47.64, 15, 2 0 4
52.03, 16, 2 1 4
55.98, 14, 2 0 6

Structure:
Unit cell a=4.499 b=4.504 c=14.415 alpha=90.00 beta=90.00 gamma=90.00
Space group P2_12_12_1 (No. 19)
Asymmetric unit:
Cs  0.249  0.007  0.343 x4
H  0.248  0.992  0.576 x4
O  0.249  0.993  0.644 x4



This entry pairs a crystal structure of Ta2Mo5 with its theoretical powder diffraction line list. Radiation: Cu Kα (weighted mean of Kα1 and Kα2). Structure: a PBE-relaxed structure.
Kinematic intensities with the Lorentz-polarization factor, no thermal factor.

Main lines, sorted by position (10 to 90 degrees two-theta):
2θ/deg, intensity, index
15.75, 6, 0 0 4
28.20, 4, 1 0 1
30.40, 7, 1 0 3
39.77, 100, 1 0 7
39.89, 50, 1 1 0
43.13, 2, 1 1 4
57.31, 8, 0 0 14
57.68, 17, 2 0 0
72.10, 17, 1 1 14
72.35, 34, 2 1 7
85.72, 11, 2 0 14
86.03, 6, 2 2 0

Structure:
Unit cell a=3.196 b=3.196 c=22.507 alpha=90.00 beta=90.00 gamma=90.00
Space group I4/mmm (No. 139)
Asymmetric unit:
Ta  0.000  0.000  0.142 x4
Mo  0.000  0.000  0.000 x2
Mo  0.000  0.000  0.284 x4
Mo  0.000  0.000  0.430 x4



This entry pairs a crystal structure of K5H2F3 with its theoretical powder diffraction line list. Radiation: Cu Kα (weighted mean of Kα1 and Kα2). Structure: a PBE-relaxed structure.
Kinematic intensities with the Lorentz-polarization factor, no thermal factor.

Main lines, sorted by position (10 to 90 degrees two-theta):
2θ/deg, intensity, index
12.81, 48, 2 0 -1
24.16, 55, 1 1 0
24.55, 50, 1 1 -1
26.64, 50, 4 0 -1
26.83, 50, 2 0 -3
31.01, 100, 3 1 -2
33.80, 89, 2 0 2
40.99, 45, 5 1 -3
42.15, 33, 6 0 -4
46.41, 29, 5 1 0
46.63, 57, 0 2 0
58.81, 28, 2 2 2

Structure:
Unit cell a=13.950 b=3.897 c=10.052 alpha=90.00 beta=125.81 gamma=90.00
Space group C2/m (No. 12)
Asymmetric unit:
K  0.000  0.000  0.000 x2
K  0.092  0.000  0.412 x4
K  0.199  0.500  0.809 x4
H  0.174  0.500  0.271 x4
F  0.000  0.500  0.500 x2
F  0.113  0.000  0.875 x4



Copy entry 1 word for word.
This entry pairs a crystal structure of CsHO with its theoretical powder diffraction line list. Radiation: Cu Kα (weighted mean of Kα1 and Kα2). Structure: a PBE-relaxed structure.
Kinematic intensities with the Lorentz-polarization factor, no thermal factor.

Main lines, sorted by position (10 to 90 degrees two-theta):
2θ/deg, intensity, index
12.28, 31, 0 0 2
23.30, 100, 1 0 2
24.70, 25, 0 0 4
28.03, 69, 1 1 0
31.81, 33, 1 0 4
37.71, 31, 1 1 4
40.06, 25, 2 0 0
46.86, 32, 2 1 2
47.41, 24, 1 1 6
47.64, 15, 2 0 4
52.03, 16, 2 1 4
55.98, 14, 2 0 6

Structure:
Unit cell a=4.499 b=4.504 c=14.415 alpha=90.00 beta=90.00 gamma=90.00
Space group P2_12_12_1 (No. 19)
Asymmetric unit:
Cs  0.249  0.007  0.343 x4
H  0.248  0.992  0.576 x4
O  0.249  0.993  0.644 x4